Simulated X-ray powder pattern
Compound: MgTe4Mo2W2Se2S2
Radiation: Cu Kα (λ = 1.5418 Å)
Structure: a structure optimized by DFT (GGA-PBE)
Neutral-atom scattering factors, no anomalous dispersion.

Structural model:
```
data_MgTe4Mo2W2Se2S2
_chemical_formula_sum 'Mg1 Te4 Mo2 W2 Se2 S2'
_cell_length_a 3.3912
_cell_length_b 3.3912
_cell_length_c 46.6115
_cell_angle_alpha 90.00
_cell_angle_beta 90.00
_cell_angle_gamma 120.00
_symmetry_space_group_name_H-M 'P 1'
_symmetry_Int_Tables_number 1
_symmetry_space_group_name_Hall 'P 1'
loop_
_atom_site_label
_atom_site_type_symbol
_atom_site_fract_x
_atom_site_fract_y
_atom_site_fract_z
Mg1 Mg 0.0000 0.0000 0.0000
Te1 Te 0.3333 0.6667 0.0645
Te2 Te 0.3333 0.6667 0.1453
Te3 Te 0.3333 0.6667 0.4335
Te4 Te 0.3333 0.6667 0.5144
Mo1 Mo 0.3333 0.6667 0.9024
Mo2 Mo 0.6667 0.3333 0.1051
W1 W 0.3333 0.6667 0.2862
W2 W 0.6667 0.3333 0.4739
Se1 Se 0.6667 0.3333 0.8671
Se2 Se 0.6667 0.3333 0.9382
S1 S 0.6667 0.3333 0.2538
S2 S 0.6667 0.3333 0.3186
```

The 12 most intense peaks (2θ = 10–90°), low angle first:
2θ/deg, I (rel.)
11.39, 54
30.45, 65
31.95, 31
34.19, 78
35.13, 16
37.25, 35
39.67, 100
40.98, 34
46.77, 20
54.09, 43
55.05, 24
69.13, 19



Simulated X-ray powder pattern
Compound: CoTe
Radiation: Cu Kα (λ = 1.5418 Å)
Structure: a structure optimized by DFT (GGA-PBE)
Neutral-atom scattering factors, no anomalous dispersion.

Structural model:
```
data_CoTe
_chemical_formula_sum 'Co2 Te2'
_cell_length_a 3.9092
_cell_length_b 3.9092
_cell_length_c 5.3035
_cell_angle_alpha 90.00
_cell_angle_beta 90.00
_cell_angle_gamma 120.00
_symmetry_space_group_name_H-M 'P 1'
_symmetry_Int_Tables_number 1
_symmetry_space_group_name_Hall 'P 1'
loop_
_atom_site_label
_atom_site_type_symbol
_atom_site_fract_x
_atom_site_fract_y
_atom_site_fract_z
Co1 Co 0.0000 0.0000 0.0000
Co2 Co 0.0000 0.0000 0.5000
Te1 Te 0.3333 0.6667 0.2500
Te2 Te 0.6667 0.3333 0.7500
```

The 12 most intense peaks (2θ = 10–90°), low angle first:
2θ/deg, I (rel.)
31.35, 100
43.34, 54
46.46, 50
57.12, 18
58.68, 6
58.94, 16
65.41, 15
76.60, 15
78.18, 7
83.97, 15
86.18, 8
89.27, 15



Simulated X-ray powder pattern
Compound: PmSe
Radiation: Cu Kα (λ = 1.5418 Å)
Structure: a structure optimized by DFT (GGA-PBE)
Neutral-atom scattering factors, no anomalous dispersion.

Structural model:
```
data_PmSe
_chemical_formula_sum 'Pm2 Se2'
_cell_length_a 4.6836
_cell_length_b 4.6836
_cell_length_c 7.4964
_cell_angle_alpha 90.00
_cell_angle_beta 90.00
_cell_angle_gamma 120.00
_symmetry_space_group_name_H-M 'P 1'
_symmetry_Int_Tables_number 1
_symmetry_space_group_name_Hall 'P 1'
loop_
_atom_site_label
_atom_site_type_symbol
_atom_site_fract_x
_atom_site_fract_y
_atom_site_fract_z
Pm1 Pm 0.3333 0.6667 0.0000
Pm2 Pm 0.6667 0.3333 0.5000
Se1 Se 0.3333 0.6667 0.3778
Se2 Se 0.6667 0.3333 0.8778
```

The 12 most intense peaks (2θ = 10–90°), low angle first:
2θ/deg, I (rel.)
21.91, 100
23.74, 61
24.96, 93
32.53, 41
38.44, 93
42.49, 89
45.68, 64
46.38, 18
58.62, 34
66.49, 25
69.53, 16
72.31, 37